1.
The following is a computed powder diffraction line list of NdHg5Pd6. It was derived from a cell relaxed with GGA-PBE, using Cu Kα.
Peak positions follow from Bragg's law for the DFT cell and can differ from measured ones.

Cell and atoms:
```
data_NdHg5Pd6
_chemical_formula_sum 'Nd1 Hg5 Pd6'
_cell_length_a 4.860
_cell_length_b 6.528
_cell_length_c 7.289
_cell_angle_alpha 90.00
_cell_angle_beta 100.79
_cell_angle_gamma 90.00
_space_group_name_H-M_alt 'P 1 2/m 1'
_space_group_IT_number 10
_space_group_name_Hall '-P 2y'
loop_
_atom_site_label
_atom_site_type_symbol
_atom_site_fract_x
_atom_site_fract_y
_atom_site_fract_z
_atom_site_occupancy
Nd1 Nd 0.000 0.000 0.000 1
Hg1 Hg 0.000 0.500 0.000 1
Hg2 Hg 0.350 0.500 0.668 1
Hg3 Hg 0.361 0.000 0.672 1
Pd1 Pd 0.148 0.254 0.342 1
Pd2 Pd 0.500 0.266 0.000 1
```

Principal peaks in the range 5 to 70 degrees two-theta, by angle:
d (Å)	I (rel.)	index
2.438	1000	1 2 1
2.403	465	2 0 -1
2.387	485	0 0 3
2.271	814	1 2 -2
1.834	206	2 0 2
1.632	146	0 4 0
1.430	171	3 2 0
1.423	201	1 2 4
1.350	148	2 4 -1
1.347	156	0 4 3

=====

2.
The following is a computed powder diffraction line list of Nb2GaO. It was derived from a cell relaxed with GGA-PBE, using Cu Kα.
Peak positions follow from Bragg's law for the DFT cell and can differ from measured ones.

Cell and atoms:
```
data_Nb2GaO
_chemical_formula_sum 'Nb8 Ga4 O4'
_cell_length_a 5.009
_cell_length_b 5.009
_cell_length_c 11.792
_cell_angle_alpha 90.00
_cell_angle_beta 90.00
_cell_angle_gamma 90.00
_space_group_name_H-M_alt 'I -4 2 d'
_space_group_IT_number 122
_space_group_name_Hall 'I -4 2bw'
loop_
_atom_site_label
_atom_site_type_symbol
_atom_site_fract_x
_atom_site_fract_y
_atom_site_fract_z
_atom_site_occupancy
Nb1 Nb 0.141 0.250 0.125 1
Ga1 Ga 0.000 0.000 0.500 1
O1 O 0.000 0.000 0.000 1
```

Principal peaks in the range 5 to 70 degrees two-theta, by angle:
d (Å)	I (rel.)	index
3.092	350	1 0 3
3.036	1000	1 1 2
2.305	90	2 0 2
2.201	504	2 1 1
2.134	124	1 0 5
1.946	165	2 1 3
1.909	350	2 0 4
1.718	179	1 1 6
1.624	91	2 1 5
1.346	102	2 1 7

=====

3.
The following is a computed powder diffraction line list of Re3Pt5. It was derived from a cell relaxed with GGA-PBE, using Cu Kα.
Peak positions follow from Bragg's law for the DFT cell and can differ from measured ones.

Cell and atoms:
```
data_Re3Pt5
_chemical_formula_sum 'Re12 Pt20'
_cell_length_a 10.538
_cell_length_b 9.681
_cell_length_c 5.347
_cell_angle_alpha 90.00
_cell_angle_beta 116.34
_cell_angle_gamma 90.00
_space_group_name_H-M_alt 'C 1 2/c 1'
_space_group_IT_number 15
_space_group_name_Hall '-C 2yc'
loop_
_atom_site_label
_atom_site_type_symbol
_atom_site_fract_x
_atom_site_fract_y
_atom_site_fract_z
_atom_site_occupancy
Re1 Re 0.000 0.048 0.250 1
Re2 Re 0.123 0.289 0.486 1
Pt1 Pt 0.000 0.459 0.750 1
Pt2 Pt 0.124 0.208 0.002 1
Pt3 Pt 0.247 0.042 0.736 1
```

Principal peaks in the range 5 to 70 degrees two-theta, by angle:
d (Å)	I (rel.)	index
2.525	7	1 1 -2
2.422	716	2 2 1
2.254	778	4 0 -2
2.147	1000	0 2 2
2.133	997	2 4 -1
2.122	979	4 2 0
1.662	152	2 2 -3
1.650	149	4 4 -2
1.639	148	6 2 -1
1.399	514	2 6 1